Calculated powder XRD pattern of Br for λ = 1.5418 Å (Cu Kα), from a crystal structure in Alexandria, relaxed with GGA-PBE.

Atomic structure:
a b c (Å): 12.384 12.384 4.613
angles (deg): 90.00 90.00 90.00
Space group P4/m (No. 83)
Asymmetric unit:
Br (0.021, 0.214, 0.000)
Br (0.163, 0.461, 0.500)
Br (0.184, 0.773, 0.000)
Br (0.336, 0.543, 0.500)

Largest 12 diffraction maxima, low angle first, 2θ = 10–90°:
2θ 20.28, I 16; 2θ 20.55, I 100; 2θ 21.53, I 20; 2θ 24.06, I 28; 2θ 25.12, I 43; 2θ 29.75, I 16; 2θ 32.33, I 26; 2θ 37.90, I 14; 2θ 39.05, I 22; 2θ 41.38, I 22; 2θ 44.00, I 16; 2θ 51.22, I 16